For TiInAu4, a crystal structure in Alexandria, relaxed with PBE gives the theoretical powder X-ray diffraction pattern in this record (CuKα).

Structure:
a = 3.2563 Å, b = 3.7768 Å, c = 8.9820 Å
α = 90.00°, β = 90.00°, γ = 90.00°
Positions (direct):
1 Ti 0.0000 0.0000 0.0000
2 In 0.5000 0.5000 0.5000
3 Au 0.0000 0.0000 0.3235
4 Au 0.0000 0.0000 0.6765
5 Au 0.5000 0.5000 0.1547
6 Au 0.5000 0.5000 0.8453

Principal peaks in the range 2θ = 10–80°, by angle:
2θ/deg	I (rel.)
36.43	100
38.37	84
40.95	70
48.19	23
65.04	36
70.39	28

=====

For TiIn2Au6, a crystal structure in Alexandria, relaxed with PBE gives the theoretical powder X-ray diffraction pattern in this record (CuKα).

Structure:
a = 8.1504 Å, b = 8.1504 Å, c = 4.9805 Å
α = 98.87°, β = 98.87°, γ = 143.70°
Positions (direct):
1 Ti 0.0000 0.0000 0.0000
2 In 0.1642 0.8358 0.5000
3 In 0.8358 0.1642 0.5000
4 Au 0.1622 0.4854 0.1621
5 Au 0.3326 0.3326 0.6662
6 Au 0.4854 0.1622 0.1621
7 Au 0.5146 0.8378 0.8379
8 Au 0.6674 0.6674 0.3338
9 Au 0.8378 0.5146 0.8379

Principal peaks in the range 2θ = 10–80°, by angle:
2θ/deg	I (rel.)
34.75	71
36.55	57
37.28	45
39.71	100
42.59	43
55.56	22

=====

For Ti6In3Au, a crystal structure in Alexandria, relaxed with PBE gives the theoretical powder X-ray diffraction pattern in this record (CuKα).

Structure:
a = 9.1854 Å, b = 9.1854 Å, c = 5.1402 Å
α = 90.00°, β = 90.00°, γ = 118.24°
Positions (direct):
1 Ti 0.0002 0.4995 0.2476
2 Ti 0.9998 0.5005 0.7476
3 Ti 0.0563 0.9437 0.5000
4 Ti 0.2577 0.4048 0.9989
5 Ti 0.2869 0.7131 0.9979
6 Ti 0.4048 0.2577 0.4989
7 Ti 0.4995 0.0002 0.7476
8 Ti 0.5005 0.9998 0.2476
9 Ti 0.5952 0.7423 0.9989
10 Ti 0.7131 0.2869 0.4979
11 Ti 0.7423 0.5952 0.4989
12 Ti 0.9437 0.0563 0.0000
13 In 0.0694 0.2574 0.4995
14 In 0.2574 0.0694 0.9995
15 In 0.3991 0.6009 0.4987
16 In 0.6009 0.3991 0.9987
17 In 0.7426 0.9306 0.4995
18 In 0.9306 0.7426 0.9995
19 Au 0.2147 0.7853 0.4972
20 Au 0.7853 0.2147 0.9972

Principal peaks in the range 2θ = 10–80°, by angle:
2θ/deg	I (rel.)
33.91	100
34.12	49
34.91	58
37.66	57
38.48	49
39.94	43

=====

For TlInAu6, a crystal structure in Alexandria, relaxed with PBE gives the theoretical powder X-ray diffraction pattern in this record (CuKα).

Structure:
a = 4.8441 Å, b = 5.8831 Å, c = 5.4896 Å
α = 90.00°, β = 90.00°, γ = 90.00°
Positions (direct):
1 Tl 0.0000 0.0000 0.0000
2 In 0.5000 0.5000 0.3134
3 Au 0.0000 0.2572 0.4925
4 Au 0.0000 0.5000 0.9879
5 Au 0.0000 0.7428 0.4925
6 Au 0.5000 0.0000 0.3584
7 Au 0.5000 0.2539 0.8235
8 Au 0.5000 0.7461 0.8235

Principal peaks in the range 2θ = 10–80°, by angle:
2θ/deg	I (rel.)
34.59	22
37.12	39
37.67	53
39.42	100
68.45	20
72.24	21

=====

For Tl4InAu4, a crystal structure in Alexandria, relaxed with PBE gives the theoretical powder X-ray diffraction pattern in this record (CuKα).

Structure:
a = 7.7583 Å, b = 7.7583 Å, c = 8.0390 Å
α = 90.00°, β = 90.00°, γ = 90.00°
Positions (direct):
1 Tl 0.0213 0.6772 0.1369
2 Tl 0.1772 0.9787 0.6369
3 Tl 0.3228 0.5213 0.6369
4 Tl 0.4787 0.8228 0.1369
5 Tl 0.5213 0.1772 0.8631
6 Tl 0.6772 0.4787 0.3631
7 Tl 0.8228 0.0213 0.3631
8 Tl 0.9787 0.3228 0.8631
9 In 0.2500 0.2500 0.2500
10 In 0.7500 0.7500 0.7500
11 Au 0.0101 0.3173 0.4988
12 Au 0.1827 0.0101 0.0012
13 Au 0.3173 0.4899 0.0012
14 Au 0.4899 0.1827 0.4988
15 Au 0.5101 0.8173 0.5012
16 Au 0.6827 0.5101 0.9988
17 Au 0.8173 0.9899 0.9988
18 Au 0.9899 0.6827 0.5012

Principal peaks in the range 2θ = 10–80°, by angle:
2θ/deg	I (rel.)
24.95	37
28.01	77
32.65	43
36.63	100
40.93	86
61.38	34

=====

For Tl4InAu5, a crystal structure in Alexandria, relaxed with PBE gives the theoretical powder X-ray diffraction pattern in this record (CuKα).

Structure:
a = 7.2815 Å, b = 7.2815 Å, c = 7.2815 Å
α = 97.71°, β = 97.71°, γ = 137.04°
Positions (direct):
1 Tl 0.0000 0.3123 0.3123
2 Tl 0.0000 0.6877 0.6877
3 Tl 0.3123 0.0000 0.3123
4 Tl 0.6877 0.0000 0.6877
5 In 0.6814 0.6814 0.0000
6 Au 0.1782 0.1782 0.0000
7 Au 0.2604 0.2604 0.6163
8 Au 0.2604 0.6440 0.0000
9 Au 0.6440 0.2604 0.0000
10 Au 0.6440 0.6440 0.3837

Principal peaks in the range 2θ = 10–80°, by angle:
2θ/deg	I (rel.)
32.68	100
33.61	17
38.64	19
39.92	37
50.61	14
67.93	13

=====

For Tl7InAu2, a crystal structure in Alexandria, relaxed with PBE gives the theoretical powder X-ray diffraction pattern in this record (CuKα).

Structure:
a = 9.4193 Å, b = 9.4193 Å, c = 3.5528 Å
α = 90.00°, β = 90.00°, γ = 106.10°
Positions (direct):
1 Tl 0.0000 0.0000 0.0000
2 Tl 0.1177 0.3686 0.0000
3 Tl 0.2018 0.7982 0.5000
4 Tl 0.3686 0.1177 0.0000
5 Tl 0.6314 0.8823 0.0000
6 Tl 0.7982 0.2018 0.5000
7 Tl 0.8823 0.6314 0.0000
8 In 0.5000 0.5000 0.5000
9 Au 0.3569 0.6431 0.0000
10 Au 0.6431 0.3569 0.0000

Principal peaks in the range 2θ = 10–80°, by angle:
2θ/deg	I (rel.)
28.48	57
31.60	99
31.86	100
34.72	63
39.19	83
47.65	51

=====

For TlIn4Au4, a crystal structure in Alexandria, relaxed with PBE gives the theoretical powder X-ray diffraction pattern in this record (CuKα).

Structure:
a = 9.2315 Å, b = 9.2315 Å, c = 5.5698 Å
α = 90.00°, β = 90.00°, γ = 90.00°
Positions (direct):
1 Tl 0.2500 0.2500 0.2500
2 Tl 0.7500 0.7500 0.7500
3 In 0.0931 0.6443 0.1578
4 In 0.1443 0.9069 0.6578
5 In 0.3557 0.5931 0.6578
6 In 0.4069 0.8557 0.1578
7 In 0.5931 0.1443 0.8422
8 In 0.6443 0.4069 0.3422
9 In 0.8557 0.0931 0.3422
10 In 0.9069 0.3557 0.8422
11 Au 0.0457 0.6124 0.6633
12 Au 0.1124 0.9543 0.1633
13 Au 0.3876 0.5457 0.1633
14 Au 0.4543 0.8876 0.6633
15 Au 0.5457 0.1124 0.3367
16 Au 0.6124 0.4543 0.8367
17 Au 0.8876 0.0457 0.8367
18 Au 0.9543 0.3876 0.3367

Principal peaks in the range 2θ = 10–80°, by angle:
2θ/deg	I (rel.)
18.61	31
30.62	100
33.61	36
38.71	27
43.57	24
43.85	61

=====

For TlIn4Au4, a crystal structure in Alexandria, relaxed with PBE gives the theoretical powder X-ray diffraction pattern in this record (CuKα).

Structure:
a = 7.0965 Å, b = 7.0965 Å, c = 9.0827 Å
α = 90.00°, β = 90.00°, γ = 90.00°
Positions (direct):
1 Tl 0.2500 0.7500 0.2500
2 Tl 0.7500 0.2500 0.7500
3 In 0.0032 0.2500 0.1228
4 In 0.2500 0.0032 0.6228
5 In 0.2500 0.4968 0.6228
6 In 0.4968 0.2500 0.1228
7 In 0.5032 0.7500 0.8772
8 In 0.7500 0.5032 0.3772
9 In 0.7500 0.9968 0.3772
10 In 0.9968 0.7500 0.8772
11 Au 0.0481 0.2500 0.4301
12 Au 0.2500 0.0481 0.9301
13 Au 0.2500 0.4519 0.9301
14 Au 0.4519 0.2500 0.4301
15 Au 0.5481 0.7500 0.5699
16 Au 0.7500 0.5481 0.0699
17 Au 0.7500 0.9519 0.0699
18 Au 0.9519 0.7500 0.5699

Principal peaks in the range 2θ = 10–80°, by angle:
2θ/deg	I (rel.)
26.47	27
29.82	100
32.14	54
35.79	43
41.10	27
48.86	48

=====

For Tl6InAu2, a crystal structure in Alexandria, relaxed with PBE gives the theoretical powder X-ray diffraction pattern in this record (CuKα).

Structure:
a = 7.8878 Å, b = 7.8878 Å, c = 11.1973 Å
α = 120.62°, β = 120.62°, γ = 25.29°
Positions (direct):
1 Tl 0.0296 0.0296 0.2158
2 Tl 0.2379 0.2379 0.6174
3 Tl 0.3263 0.3263 0.9492
4 Tl 0.6737 0.6737 0.0508
5 Tl 0.7621 0.7621 0.3826
6 Tl 0.9704 0.9704 0.7842
7 In 0.0000 0.0000 0.5000
8 Au 0.3708 0.3708 0.2557
9 Au 0.6292 0.6292 0.7443

Principal peaks in the range 2θ = 10–80°, by angle:
2θ/deg	I (rel.)
31.25	93
32.91	37
33.04	72
36.31	100
37.05	34
37.27	39

=====

For TlInAu3, a crystal structure in Alexandria, relaxed with PBE gives the theoretical powder X-ray diffraction pattern in this record (CuKα).

Structure:
a = 5.4926 Å, b = 6.8661 Å, c = 6.1765 Å
α = 90.00°, β = 100.82°, γ = 90.00°
Positions (direct):
1 Tl 0.2241 0.2500 0.1648
2 Tl 0.7759 0.7500 0.8352
3 In 0.1208 0.7500 0.3959
4 In 0.8792 0.2500 0.6041
5 Au 0.2968 0.7500 0.9974
6 Au 0.3499 0.0434 0.6725
7 Au 0.3499 0.4566 0.6725
8 Au 0.6501 0.5434 0.3275
9 Au 0.6501 0.9566 0.3275
10 Au 0.7032 0.2500 0.0026

Principal peaks in the range 2θ = 10–80°, by angle:
2θ/deg	I (rel.)
29.91	48
32.26	44
33.70	53
35.67	100
36.25	39
39.00	56

=====

For Tl6InAu4, a crystal structure in Alexandria, relaxed with PBE gives the theoretical powder X-ray diffraction pattern in this record (CuKα).

Structure:
a = 10.2126 Å, b = 10.2126 Å, c = 6.7277 Å
α = 90.00°, β = 90.00°, γ = 120.00°
Positions (direct):
1 Tl 0.0483 0.5242 0.0000
2 Tl 0.1374 0.2749 0.6869
3 Tl 0.1374 0.8626 0.6869
4 Tl 0.2749 0.1374 0.1869
5 Tl 0.4758 0.5242 0.0000
6 Tl 0.4758 0.9517 0.0000
7 Tl 0.5242 0.0483 0.5000
8 Tl 0.5242 0.4758 0.5000
9 Tl 0.7251 0.8626 0.6869
10 Tl 0.8626 0.1374 0.1869
11 Tl 0.8626 0.7251 0.1869
12 Tl 0.9517 0.4758 0.5000
13 In 0.3333 0.6667 0.3709
14 In 0.6667 0.3333 0.8709
15 Au 0.1811 0.3622 0.2557
16 Au 0.1811 0.8189 0.2557
17 Au 0.3333 0.6667 0.7756
18 Au 0.3622 0.1811 0.7557
19 Au 0.6378 0.8189 0.2557
20 Au 0.6667 0.3333 0.2756
21 Au 0.8189 0.1811 0.7557
22 Au 0.8189 0.6378 0.7557

Principal peaks in the range 2θ = 10–80°, by angle:
2θ/deg	I (rel.)
28.39	19
29.85	44
33.18	29
33.47	99
35.15	100
49.32	22